Record 1
The following is a calculated powder diffractogram of Nd5Mg. It was derived from DFT lattice parameters and positions (PBE), using Cu Kα X-rays.
Lines closer than 0.1° are merged.

Peak list (12 most intense, 15 to 90 degrees two-theta, low angle first)
d [Å], 2θ (°), Rel. int.
4.647, 19.1, 9
3.184, 28.0, 25
2.877, 31.1, 24
2.786, 32.1, 100
2.135, 42.3, 17
1.838, 49.6, 20
1.643, 56.0, 21
1.549, 59.7, 22
1.534, 60.3, 16
1.225, 78.0, 7
1.178, 81.8, 12
1.133, 85.8, 8

Structural model:
Cell lengths 6.3681, 6.3681, 17.2642 Å; angles 90.00, 90.00, 120.00 degrees
Space group R32 (No. 155, hexagonal axes)
Unique sites:
1 Nd 0.0000 0.0000 0.1649 [6 per cell]
2 Nd 0.0000 0.6475 0.0000 [9 per cell]
3 Mg 0.0000 0.0000 0.5000 [3 per cell]

Record 2
The following is a calculated powder diffractogram of Nd3B2N4. It was derived from DFT lattice parameters and positions (PBE), using Cu Kα X-rays.
Lines closer than 0.1° are merged.

Peak list (12 most intense, 15 to 90 degrees two-theta, low angle first)
d [Å], 2θ (°), Rel. int.
3.380, 26.4, 17
3.154, 28.3, 34
3.138, 28.4, 64
2.691, 33.3, 100
2.306, 39.1, 31
2.056, 44.0, 16
1.853, 49.2, 23
1.818, 50.2, 15
1.717, 53.4, 23
1.598, 57.7, 22
1.548, 59.7, 25
1.201, 79.9, 12

Structural model:
Cell lengths 3.5570, 6.3084, 10.8533 Å; angles 90.00, 90.00, 90.00 degrees
Space group Immm (No. 71)
Unique sites:
1 Nd 0.0000 0.0000 0.0000 [2 per cell]
2 Nd 0.0000 0.5000 0.2018 [4 per cell]
3 B 0.0000 0.1430 0.5000 [4 per cell]
4 N 0.0000 0.2562 0.3810 [8 per cell]